Theoretical powder diffractogram
Compound: CaLaMnSnO6
Radiation: Cu Ka
Structure: DFT lattice parameters and positions (GGA+U)
No peak broadening, texture or thermal motion is included.

Structure:
a b c (Å): 5.6157 5.8525 9.6027
angles (deg): 90.00 125.23 90.00
Space group Pc (No. 7)
Inequivalent atoms, fractional coordinates:
Ca (0.0000, 0.1929, 0.0000)
La (0.4695, 0.3025, 0.4966)
Mn (0.7325, 0.2482, 0.2468)
Sn (0.2339, 0.2470, 0.7492)
O (0.0699, 0.0522, 0.2936)
O (0.3943, 0.4478, 0.2001)
O (0.4690, 0.0526, 0.6946)
O (0.5939, 0.2784, 0.0072)
O (0.8810, 0.2185, 0.4883)
O (0.9963, 0.4423, 0.8021)

Main lines, low angle first (15° ≤ 2θ ≤ 90°):
hkl  2θ (°)  Rel. int.
0 1 1  18.92  27
1 0 0  19.35  18
0 2 0  30.55  34
1 1 1  31.64  71
1 1 -3  31.87  100
2 2 -2  44.73  36
0 0 4  46.28  23
3 1 -1  56.49  32
3 1 -5  56.96  24
4 0 -4  66.61  14